[1]
# LiHS
Computed PXRD pattern, λ = 1.5418 Å (Cu Kα). Input: a cell relaxed with PBE.
No peak broadening, texture or thermal motion is included.

Crystal structure
abc: 7.892 7.892 6.188
angles: 90.00 90.00 90.00
Positions (direct):
Li  0.000  0.000  0.250
Li  0.000  0.000  0.750
Li  0.000  0.500  0.250
Li  0.000  0.500  0.750
Li  0.500  0.000  0.250
Li  0.500  0.000  0.750
Li  0.500  0.500  0.250
Li  0.500  0.500  0.750
H  0.187  0.251  0.000
H  0.249  0.313  0.500
H  0.251  0.813  0.500
H  0.313  0.751  0.000
H  0.687  0.249  0.000
H  0.749  0.187  0.500
H  0.751  0.687  0.500
H  0.813  0.749  0.000
S  0.016  0.250  0.000
S  0.250  0.484  0.500
S  0.250  0.984  0.500
S  0.484  0.750  0.000
S  0.516  0.250  0.000
S  0.750  0.016  0.500
S  0.750  0.516  0.500
S  0.984  0.750  0.000

Peak list (10 most intense, 5° ≤ 2θ ≤ 70°, by intensity)
2θ = 26.80°, d 3.327, I = 1000
2θ = 43.69°, d 2.072, I = 279
2θ = 54.04°, d 1.697, I = 199
2θ = 32.08°, d 2.790, I = 187
2θ = 28.86°, d 3.094, I = 163
2θ = 49.89°, d 1.828, I = 153
2θ = 46.00°, d 1.973, I = 124
2θ = 55.22°, d 1.663, I = 68
2θ = 67.09°, d 1.395, I = 34
2θ = 69.47°, d 1.353, I = 33

[2]
# Er5MgNi4
Computed PXRD pattern, λ = 1.5418 Å (Cu Kα). Input: a cell relaxed with PBE.
No peak broadening, texture or thermal motion is included.

Crystal structure
abc: 3.374 3.374 17.862
angles: 90.00 90.00 90.00
Positions (direct):
Er  0.000  0.000  0.000
Er  0.000  0.000  0.186
Er  0.000  0.000  0.369
Er  0.000  0.000  0.631
Er  0.000  0.000  0.814
Mg  0.500  0.500  0.500
Ni  0.500  0.500  0.093
Ni  0.500  0.500  0.282
Ni  0.500  0.500  0.718
Ni  0.500  0.500  0.907

Peak list (10 most intense, 5° ≤ 2θ ≤ 70°, by intensity)
2θ = 36.63°, d 2.453, I = 1000
2θ = 37.70°, d 2.386, I = 690
2θ = 26.41°, d 3.374, I = 405
2θ = 40.40°, d 2.232, I = 374
2θ = 67.36°, d 1.390, I = 328
2θ = 54.38°, d 1.687, I = 237
2θ = 69.88°, d 1.346, I = 148
2θ = 24.92°, d 3.572, I = 118
2θ = 9.90°, d 8.931, I = 116
2θ = 45.73°, d 1.984, I = 105

[3]
# Rb5B2S6
Computed PXRD pattern, λ = 1.5418 Å (Cu Kα). Input: a cell relaxed with PBE.
No peak broadening, texture or thermal motion is included.

Crystal structure
abc: 7.399 7.399 16.711
angles: 94.68 94.68 74.76
Positions (direct):
Rb  0.186  0.814  0.750
Rb  0.212  0.733  0.002
Rb  0.214  0.447  0.303
Rb  0.267  0.788  0.498
Rb  0.447  0.214  0.803
Rb  0.553  0.786  0.197
Rb  0.733  0.212  0.502
Rb  0.786  0.553  0.697
Rb  0.788  0.267  0.998
Rb  0.814  0.186  0.250
B  0.250  0.290  0.585
B  0.290  0.250  0.085
B  0.710  0.750  0.915
B  0.750  0.710  0.415
S  0.123  0.173  0.646
S  0.173  0.123  0.146
S  0.242  0.251  0.477
S  0.251  0.242  0.977
S  0.388  0.445  0.635
S  0.445  0.388  0.135
S  0.555  0.612  0.865
S  0.612  0.555  0.365
S  0.749  0.758  0.023
S  0.758  0.749  0.523
S  0.827  0.877  0.854
S  0.877  0.827  0.354

Peak list (10 most intense, 5° ≤ 2θ ≤ 70°, by intensity)
2θ = 24.99°, d 3.563, I = 1000
2θ = 25.97°, d 3.431, I = 747
2θ = 29.28°, d 3.051, I = 631
2θ = 20.48°, d 4.337, I = 611
2θ = 19.67°, d 4.513, I = 602
2θ = 35.69°, d 2.516, I = 582
2θ = 32.05°, d 2.792, I = 577
2θ = 27.58°, d 3.235, I = 463
2θ = 28.40°, d 3.143, I = 444
2θ = 37.90°, d 2.374, I = 424

[4]
# ZnSnF5
Computed PXRD pattern, λ = 1.5418 Å (Cu Kα). Input: a cell relaxed with PBE.
No peak broadening, texture or thermal motion is included.

Crystal structure
abc: 5.767 5.767 8.453
angles: 111.90 111.90 80.79
Positions (direct):
Zn  0.072  0.928  0.750
Zn  0.928  0.072  0.250
Sn  0.500  0.500  0.000
Sn  0.500  0.500  0.500
F  0.172  0.271  0.849
F  0.187  0.744  0.544
F  0.256  0.813  0.956
F  0.271  0.172  0.349
F  0.448  0.552  0.250
F  0.552  0.448  0.750
F  0.729  0.828  0.651
F  0.744  0.187  0.044
F  0.813  0.256  0.456
F  0.828  0.729  0.151

Peak list (10 most intense, 5° ≤ 2θ ≤ 70°, by intensity)
2θ = 24.19°, d 3.679, I = 1000
2θ = 23.23°, d 3.829, I = 606
2θ = 23.81°, d 3.737, I = 394
2θ = 16.57°, d 5.349, I = 221
2θ = 49.53°, d 1.840, I = 221
2θ = 53.79°, d 1.704, I = 198
2θ = 33.94°, d 2.641, I = 181
2θ = 33.64°, d 2.664, I = 169
2θ = 42.79°, d 2.113, I = 168
2θ = 42.10°, d 2.146, I = 150

[5]
# Ac3CeTc2N6
Computed PXRD pattern, λ = 1.5418 Å (Cu Kα). Input: a cell relaxed with PBE.
No peak broadening, texture or thermal motion is included.

Crystal structure
abc: 6.087 6.087 6.961
angles: 90.00 90.00 120.00
Positions (direct):
Ac  0.000  0.000  0.000
Ac  0.333  0.667  0.686
Ac  0.667  0.333  0.314
Ce  0.000  0.000  0.500
Tc  0.333  0.667  0.185
Tc  0.667  0.333  0.815
N  0.172  0.343  0.290
N  0.172  0.828  0.290
N  0.343  0.172  0.710
N  0.657  0.828  0.290
N  0.828  0.172  0.710
N  0.828  0.657  0.710

Peak list (10 most intense, 5° ≤ 2θ ≤ 70°, by intensity)
2θ = 29.35°, d 3.044, I = 1000
2θ = 30.78°, d 2.905, I = 893
2θ = 43.05°, d 2.101, I = 426
2θ = 52.95°, d 1.729, I = 396
2θ = 52.04°, d 1.757, I = 209
2θ = 21.14°, d 4.203, I = 184
2θ = 69.77°, d 1.348, I = 177
2θ = 55.62°, d 1.653, I = 156
2θ = 60.87°, d 1.522, I = 154
2θ = 64.12°, d 1.452, I = 114

[6]
# Zn3Si4Ag2O14
Computed PXRD pattern, λ = 1.5418 Å (Cu Kα). Input: a cell relaxed with PBE.
No peak broadening, texture or thermal motion is included.

Crystal structure
abc: 9.830 9.830 10.260
angles: 121.09 121.09 47.35
Positions (direct):
Zn  0.111  0.889  0.750
Zn  0.261  0.453  0.643
Zn  0.453  0.261  0.143
Zn  0.547  0.739  0.857
Zn  0.739  0.547  0.357
Zn  0.889  0.111  0.250
Si  0.022  0.221  0.114
Si  0.085  0.542  0.308
Si  0.221  0.022  0.614
Si  0.458  0.915  0.192
Si  0.542  0.085  0.808
Si  0.779  0.978  0.386
Si  0.915  0.458  0.692
Si  0.978  0.779  0.886
Ag  0.260  0.740  0.250
Ag  0.500  0.500  0.000
Ag  0.500  0.500  0.500
Ag  0.740  0.260  0.750
O  0.014  0.874  0.078
O  0.015  0.409  0.150
O  0.063  0.234  0.705
O  0.085  0.545  0.465
O  0.126  0.986  0.422
O  0.139  0.710  0.814
O  0.234  0.063  0.205
O  0.290  0.861  0.686
O  0.298  0.452  0.298
O  0.375  0.489  0.095
O  0.409  0.015  0.650
O  0.452  0.298  0.798
O  0.455  0.915  0.035
O  0.489  0.375  0.595
O  0.511  0.625  0.405
O  0.545  0.085  0.965
O  0.548  0.702  0.202
O  0.591  0.985  0.350
O  0.625  0.511  0.905
O  0.702  0.548  0.702
O  0.710  0.139  0.314
O  0.766  0.937  0.795
O  0.861  0.290  0.186
O  0.874  0.014  0.578
O  0.915  0.455  0.535
O  0.937  0.766  0.295
O  0.985  0.591  0.850
O  0.986  0.126  0.922

Peak list (10 most intense, 5° ≤ 2θ ≤ 70°, by intensity)
2θ = 11.90°, d 7.435, I = 1000
2θ = 27.54°, d 3.239, I = 556
2θ = 27.37°, d 3.259, I = 404
2θ = 30.22°, d 2.958, I = 399
2θ = 30.98°, d 2.887, I = 368
2θ = 12.70°, d 6.972, I = 334
2θ = 31.07°, d 2.879, I = 304
2θ = 27.97°, d 3.190, I = 300
2θ = 37.49°, d 2.399, I = 269
2θ = 18.54°, d 4.785, I = 248